(1)
This entry pairs a crystal structure of Zn2CuRe with its theoretical powder X-ray diffraction pattern. Radiation: Cu Ka. Structure: a cell relaxed with PBE.
Intensities are scaled so that the largest is 100.

Largest 10 diffraction maxima, in order of falling intensity, 2θ = 10–90°:
2theta, I/Imax
43.82, 100.0
39.88, 32.9
39.73, 32.7
21.97, 21.6
57.56, 21.6
75.15, 19.3
74.96, 18.8
19.57, 16.3
83.23, 14.7
35.72, 9.7

Atomic structure:
```
Zn2CuRe
1.0
-1.3519 2.2604 4.5369
1.3519 -2.2604 4.5369
1.3519 2.2604 -4.5369
Zn Cu Re
2 1 1
Cartesian
0.0000 0.0000 0.0000 Zn
0.0000 2.2604 2.2693 Zn
1.3519 0.0000 2.1546 Cu
0.0000 0.0000 4.4477 Re
```



(2)
This entry pairs a crystal structure of Ti2As4W3 with its theoretical powder X-ray diffraction pattern. Radiation: Cu Ka. Structure: a cell relaxed with PBE.
Intensities are scaled so that the largest is 100.

Largest 10 diffraction maxima, in order of falling intensity, 2θ = 10–90°:
2theta, I/Imax
39.02, 100.0
38.68, 99.4
12.96, 89.9
33.97, 76.3
43.32, 58.0
18.26, 54.8
41.81, 45.7
47.17, 38.6
42.04, 37.5
54.83, 32.8

Atomic structure:
```
Ti2As4W3
1.0
6.7958 -1.6742 0.0000
6.7958 1.6742 0.0000
-6.6854 0.0000 6.8327
Ti As W
2 4 3
Cartesian
0.0000 0.0000 0.0000 Ti
6.3937 0.0000 2.2714 Ti
-1.8660 0.0000 6.8102 As
4.0851 0.0000 3.8649 As
8.6620 0.0000 0.6788 As
8.0006 0.0000 4.5841 As
-0.8223 0.0000 4.4359 W
1.8243 0.0000 2.6779 W
10.9534 0.0000 1.8093 W
```



(3)
This entry pairs a crystal structure of Pu6ThPt5 with its theoretical powder X-ray diffraction pattern. Radiation: Cu Ka. Structure: a cell relaxed with PBE.
Intensities are scaled so that the largest is 100.

Largest 10 diffraction maxima, in order of falling intensity, 2θ = 10–90°:
2theta, I/Imax
35.74, 100.0
35.61, 95.4
64.12, 33.5
64.31, 12.3
51.34, 11.5
51.19, 10.8
51.50, 10.7
86.43, 9.5
63.99, 9.5
63.87, 8.8

Atomic structure:
```
Pu6ThPt5
1.0
5.0202 0.0000 0.0000
-0.0001 7.1184 0.0000
-2.4681 -0.0143 7.5691
Pu Th Pt
6 1 5
Cartesian
-0.0001 1.5811 0.0123 Pu
0.0249 5.3524 4.8399 Pu
0.0242 1.7015 4.8647 Pu
2.5278 5.4025 2.7043 Pu
2.5272 1.7516 2.7291 Pu
2.5521 5.5229 7.5568 Pu
2.5101 3.5592 0.0000 Th
0.0113 3.5634 2.2247 Pt
0.0190 -0.0019 2.4704 Pt
2.5101 0.0000 0.0000 Pt
2.5330 7.1060 5.0987 Pt
2.5407 3.5407 5.3444 Pt
```



(4)
This entry pairs a crystal structure of Nd5ThTl6 with its theoretical powder X-ray diffraction pattern. Radiation: Cu Ka. Structure: a cell relaxed with PBE.
Intensities are scaled so that the largest is 100.

Largest 10 diffraction maxima, in order of falling intensity, 2θ = 10–90°:
2theta, I/Imax
32.50, 100.0
32.30, 50.8
57.73, 39.6
58.12, 19.4
46.32, 18.9
68.07, 12.1
46.94, 9.1
76.91, 8.6
77.03, 8.6
77.94, 8.3

Atomic structure:
```
Nd5ThTl6
1.0
2.7701 -8.3207 0.0000
2.7701 8.3207 0.0000
0.0000 0.0000 7.7435
Nd Th Tl
5 1 6
Cartesian
0.0000 0.0000 0.0000 Nd
2.7701 2.7676 0.0000 Nd
2.7701 2.7510 3.8717 Nd
2.7701 -2.7510 3.8717 Nd
2.7701 -2.7676 0.0000 Nd
0.0000 0.0000 3.8717 Th
2.7701 5.5240 1.9273 Tl
2.7701 5.5240 5.8162 Tl
2.7701 0.0000 1.9116 Tl
2.7701 0.0000 5.8319 Tl
2.7701 -5.5240 1.9273 Tl
2.7701 -5.5240 5.8162 Tl
```



(5)
This entry pairs a crystal structure of BSbOsI2 with its theoretical powder X-ray diffraction pattern. Radiation: Cu Ka. Structure: a cell relaxed with PBE.
Intensities are scaled so that the largest is 100.

Largest 10 diffraction maxima, in order of falling intensity, 2θ = 10–90°:
2theta, I/Imax
15.85, 100.0
32.01, 66.7
35.94, 51.7
48.91, 46.1
17.77, 41.3
59.65, 28.5
36.85, 27.0
45.90, 24.3
39.54, 21.1
28.80, 21.1

Atomic structure:
```
BSbOsI2
1.0
5.5916 0.0000 0.0000
0.0000 5.5916 0.0000
0.0000 0.0000 4.9922
B Sb Os I
1 1 1 2
Cartesian
0.0000 0.0000 0.0000 B
2.7958 2.7958 0.0000 Sb
2.7958 2.7958 2.4961 Os
0.0000 2.7958 2.4961 I
2.7958 0.0000 2.4961 I
```



(6)
This entry pairs a crystal structure of Ti3ZnRh with its theoretical powder X-ray diffraction pattern. Radiation: Cu Ka. Structure: a cell relaxed with PBE.
Intensities are scaled so that the largest is 100.

Largest 10 diffraction maxima, in order of falling intensity, 2θ = 10–90°:
2theta, I/Imax
44.06, 100.0
24.60, 90.0
40.57, 64.8
40.87, 62.5
39.48, 60.4
38.53, 58.4
36.64, 53.4
41.48, 47.0
20.32, 43.3
46.04, 36.7

Atomic structure:
```
Ti3ZnRh
1.0
4.2886 0.0000 0.0000
0.0000 7.2374 0.0000
-0.1414 0.0000 5.4809
Ti Zn Rh
6 2 2
Cartesian
0.4542 1.8094 0.0080 Ti
1.5363 4.0580 4.0708 Ti
1.5363 6.7982 4.0708 Ti
2.6109 0.4393 1.4101 Ti
2.6109 3.1795 1.4101 Ti
3.6930 5.4281 5.4730 Ti
0.4257 1.8094 2.6330 Zn
3.7215 5.4281 2.8479 Zn
1.5823 5.4281 1.3751 Rh
2.5649 1.8094 4.1058 Rh
```



(7)
This entry pairs a crystal structure of Rb8S2O with its theoretical powder X-ray diffraction pattern. Radiation: Cu Ka. Structure: a cell relaxed with PBE.
Intensities are scaled so that the largest is 100.

Largest 10 diffraction maxima, in order of falling intensity, 2θ = 10–90°:
2theta, I/Imax
26.25, 100.0
27.60, 58.0
29.05, 57.0
26.41, 55.5
10.36, 51.2
29.29, 47.8
10.71, 44.8
28.14, 44.2
38.22, 43.8
36.08, 43.3

Atomic structure:
```
Rb8S2O
1.0
12.6998 -2.3548 0.0000
12.6998 2.3548 0.0000
-2.7351 0.0000 8.5391
Rb S O
8 2 1
Cartesian
-0.0883 0.0000 1.8491 Rb
3.1171 0.0000 7.1307 Rb
6.5431 0.0000 4.7624 Rb
7.2617 0.0000 8.5302 Rb
15.4028 0.0000 0.0089 Rb
16.1214 0.0000 3.7768 Rb
19.5474 0.0000 1.4085 Rb
22.7529 0.0000 6.6901 Rb
4.5826 0.0000 1.7870 S
18.0819 0.0000 6.7521 S
12.6998 0.0000 0.0000 O
```



(8)
This entry pairs a crystal structure of TbSm2Er5In with its theoretical powder X-ray diffraction pattern. Radiation: Cu Ka. Structure: a cell relaxed with PBE.
Intensities are scaled so that the largest is 100.

Largest 10 diffraction maxima, in order of falling intensity, 2θ = 10–90°:
2theta, I/Imax
32.70, 100.0
33.67, 31.0
31.02, 29.0
59.58, 26.6
34.37, 15.6
27.86, 12.9
48.88, 11.6
27.36, 10.9
62.97, 9.2
51.52, 8.1

Atomic structure:
```
TbSm2Er5In
1.0
2.6619 -10.0931 0.0000
2.6619 10.0931 0.0000
0.0000 0.0000 10.4377
Tb Sm Er In
2 4 10 2
Cartesian
2.6619 5.8748 7.8283 Tb
2.6619 -5.8748 2.6094 Tb
2.6619 7.7436 0.4124 Sm
2.6619 7.7436 4.8065 Sm
2.6619 -7.7436 5.6312 Sm
2.6619 -7.7436 10.0253 Sm
2.6619 9.8778 7.8283 Er
2.6619 4.2613 0.5416 Er
2.6619 4.2613 4.6773 Er
2.6619 2.3364 7.8283 Er
2.6619 0.0000 0.0000 Er
2.6619 0.0000 5.2189 Er
2.6619 -2.3364 2.6094 Er
2.6619 -4.2613 5.7605 Er
2.6619 -4.2613 9.8961 Er
2.6619 -9.8778 2.6094 Er
2.6619 1.9318 2.6094 In
2.6619 -1.9318 7.8283 In
```



(9)
This entry pairs a crystal structure of Ac6Rh3Br2 with its theoretical powder X-ray diffraction pattern. Radiation: Cu Ka. Structure: a cell relaxed with PBE.
Intensities are scaled so that the largest is 100.

Largest 10 diffraction maxima, in order of falling intensity, 2θ = 10–90°:
2theta, I/Imax
27.83, 100.0
41.45, 40.0
10.91, 33.8
24.70, 30.1
38.01, 27.6
35.11, 22.3
50.66, 19.5
67.45, 16.6
47.67, 16.1
29.97, 8.4

Atomic structure:
```
Ac6Rh3Br2
1.0
3.7714 -6.5383 0.0000
3.7714 6.5383 0.0000
-2.5157 0.0000 8.1077
Ac Rh Br
6 3 2
Cartesian
-0.0089 2.1689 6.5055 Ac
1.2445 0.0000 1.6025 Ac
-0.0089 -2.1689 6.5055 Ac
5.0359 2.1689 1.6022 Ac
3.7826 0.0000 6.5052 Ac
5.0359 -2.1689 1.6022 Ac
3.7714 4.3230 0.0000 Rh
3.7714 0.0000 0.0000 Rh
3.7714 -4.3230 0.0000 Rh
2.5135 2.1795 4.0538 Br
2.5135 -2.1795 4.0538 Br
```